Structure and theoretical powder XRD pattern of La2VRu2 (a DFT-relaxed cell (GGA-PBE, Alexandria); Cu Kα (weighted mean of Kα1 and Kα2)).

Structure:
```
La2VRu2
1.0
6.6209 0.0000 0.0000
0.0000 6.6209 0.0000
0.0000 0.0000 4.8841
La V Ru
4 2 4
Direct
0.1774 0.3226 0.0000
0.3226 0.8226 0.0000
0.6774 0.1774 0.0000
0.8226 0.6774 0.0000
0.0000 0.0000 0.5000
0.5000 0.5000 0.5000
0.1467 0.6467 0.5000
0.3533 0.1467 0.5000
0.6467 0.8533 0.5000
0.8533 0.3533 0.5000
```

Most intense lines, 5 to 70 degrees two-theta, in order of rising 2θ:
- 19.0°, rel. 6
- 26.9°, rel. 12
- 32.7°, rel. 13
- 35.5°, rel. 100
- 36.8°, rel. 25
- 43.2°, rel. 18
- 58.0°, rel. 15
- 59.2°, rel. 7
- 60.7°, rel. 17
- 65.4°, rel. 16

***

Structure and theoretical powder XRD pattern of LaY3Ru (a DFT-relaxed cell (GGA-PBE, Alexandria); Cu Kα (weighted mean of Kα1 and Kα2)).

Structure:
```
LaY3Ru
1.0
6.0901 -1.9101 0.0000
6.0901 1.9101 0.0000
-1.5507 0.0000 12.5998
La Y Ru
2 6 2
Direct
0.0000 0.0000 0.0000
0.5112 0.5112 0.7362
0.1926 0.1926 0.3308
0.2115 0.2115 0.5948
0.2653 0.2653 0.8668
0.4591 0.4591 0.2373
0.7362 0.7362 0.1028
0.9227 0.9227 0.4796
0.5839 0.5839 0.4445
0.8507 0.8507 0.7228
```

Most intense lines, 5 to 70 degrees two-theta, in order of rising 2θ:
- 7.0°, rel. 43
- 28.8°, rel. 68
- 30.4°, rel. 78
- 31.3°, rel. 41
- 32.3°, rel. 37
- 32.5°, rel. 60
- 33.1°, rel. 72
- 33.7°, rel. 97
- 34.2°, rel. 100
- 47.6°, rel. 62

***

Structure and theoretical powder XRD pattern of LaY2Ru (a DFT-relaxed cell (GGA-PBE, Alexandria); Cu Kα (weighted mean of Kα1 and Kα2)).

Structure:
```
LaY2Ru
1.0
3.4820 0.0000 0.0000
0.0000 3.4813 0.0000
-0.0192 0.0000 9.3339
La Y Ru
1 2 1
Direct
0.0000 0.0000 0.0000
0.4968 0.5000 0.3320
0.9981 0.0000 0.6347
0.4996 0.5000 0.8110
```

Most intense lines, 5 to 70 degrees two-theta, in order of rising 2θ:
- 9.5°, rel. 43
- 27.3°, rel. 12
- 28.7°, rel. 12
- 32.1°, rel. 100
- 36.5°, rel. 53
- 38.8°, rel. 27
- 46.9°, rel. 14
- 47.1°, rel. 12
- 52.6°, rel. 18
- 62.9°, rel. 28

***

Structure and theoretical powder XRD pattern of LaY4Ru (a DFT-relaxed cell (GGA-PBE, Alexandria); Cu Kα (weighted mean of Kα1 and Kα2)).

Structure:
```
LaY4Ru
1.0
0.0000 4.4443 4.4443
4.4443 0.0000 4.4443
4.4443 4.4443 0.0000
La Y Ru
1 4 1
Direct
0.0000 0.0000 0.0000
0.3761 0.3761 0.3761
0.3761 0.3761 0.8718
0.3761 0.8718 0.3761
0.8718 0.3761 0.3761
0.7500 0.7500 0.7500
```

Most intense lines, 5 to 70 degrees two-theta, in order of rising 2θ:
- 20.0°, rel. 1
- 28.4°, rel. 36
- 33.4°, rel. 100
- 35.0°, rel. 32
- 40.6°, rel. 2
- 50.3°, rel. 15
- 53.6°, rel. 34
- 58.8°, rel. 28
- 66.5°, rel. 6
- 69.3°, rel. 11

***

Structure and theoretical powder XRD pattern of La5Zn2Ru2 (a DFT-relaxed cell (GGA-PBE, Alexandria); Cu Kα (weighted mean of Kα1 and Kα2)).

Structure:
```
La5Zn2Ru2
1.0
5.4581 -8.4171 0.0000
5.4581 8.4171 0.0000
-3.7534 0.0000 5.3839
La Zn Ru
10 4 4
Direct
0.0000 0.0000 0.0000
0.0185 0.3590 0.4496
0.3393 0.3393 0.9155
0.3398 0.9498 0.9034
0.3590 0.0185 0.4496
0.4286 0.6365 0.5760
0.6365 0.4286 0.5760
0.7038 0.9213 0.3452
0.9213 0.7038 0.3452
0.9498 0.3398 0.9034
0.0390 0.6865 0.9165
0.2997 0.6553 0.0353
0.6553 0.2997 0.0353
0.6865 0.0390 0.9165
0.0596 0.0596 0.5357
0.1744 0.6695 0.3372
0.2913 0.2913 0.3839
0.6695 0.1744 0.3372
```

Most intense lines, 5 to 70 degrees two-theta, in order of rising 2θ:
- 27.2°, rel. 32
- 28.3°, rel. 91
- 29.2°, rel. 44
- 32.9°, rel. 37
- 33.3°, rel. 43
- 33.5°, rel. 91
- 34.0°, rel. 100
- 36.1°, rel. 38
- 36.4°, rel. 68
- 41.8°, rel. 31

***

Structure and theoretical powder XRD pattern of La3ZnRu3 (a DFT-relaxed cell (GGA-PBE, Alexandria); Cu Kα (weighted mean of Kα1 and Kα2)).

Structure:
```
La3ZnRu3
1.0
2.1632 -5.4211 0.0000
2.1632 5.4211 0.0000
0.0000 0.0000 13.5579
La Zn Ru
6 2 6
Direct
0.0227 0.9773 0.7500
0.3041 0.6959 0.6026
0.3041 0.6959 0.8974
0.6959 0.3041 0.1026
0.6959 0.3041 0.3974
0.9773 0.0227 0.2500
0.0000 0.0000 0.0000
0.0000 0.0000 0.5000
0.2749 0.7251 0.2500
0.4114 0.5886 0.0885
0.4114 0.5886 0.4115
0.5886 0.4114 0.5885
0.5886 0.4114 0.9115
0.7251 0.2749 0.7500
```

Most intense lines, 5 to 70 degrees two-theta, in order of rising 2θ:
- 25.8°, rel. 27
- 29.8°, rel. 38
- 32.3°, rel. 81
- 34.6°, rel. 77
- 38.1°, rel. 100
- 38.7°, rel. 32
- 39.9°, rel. 31
- 41.8°, rel. 51
- 54.7°, rel. 25
- 59.1°, rel. 23